(1)
Theoretical powder diffraction line list
Compound: Tm2MgIr
Radiation: Cu Ka
Structure: a crystal structure in the Materials Project, relaxed with PBE

Cell and atoms:
```
data_Tm2MgIr
_chemical_formula_sum 'Tm8 Mg4 Ir4'
_space_group_name_H-M_alt 'F m -3 m'
_space_group_IT_number 225
_space_group_name_Hall '-F 4 2 3'
_cell_length_a 7.011
_cell_length_b 7.011
_cell_length_c 7.011
_cell_angle_alpha 90.00
_cell_angle_beta 90.00
_cell_angle_gamma 90.00
loop_
_atom_site_label
_atom_site_fract_x
_atom_site_fract_y
_atom_site_fract_z
Tm1 0.250 0.250 0.250
Mg1 0.000 0.000 0.000
Ir1 0.000 0.000 0.500
```

Principal peaks in the range 2θ = 10–90°, in order of falling intensity:
2theta  Rel. int.  h k l
36.24  100  2 2 0
65.19  36  4 2 2
21.96  20  1 1 1
52.19  18  4 0 0
88.12  17  6 2 0
76.93  11  4 4 0
42.78  11  3 1 1
25.41  6  2 0 0
57.28  5  3 3 1
81.16  4  5 3 1

(2)
Theoretical powder diffraction line list
Compound: NbBr3O
Radiation: Cu Ka
Structure: a crystal structure in the Materials Project, relaxed with PBE

Cell and atoms:
```
data_NbBr3O
_chemical_formula_sum 'Nb4 Br12 O4'
_space_group_name_H-M_alt 'P 1 21/c 1'
_space_group_IT_number 14
_cell_length_a 3.977
_cell_length_b 12.108
_cell_length_c 12.718
_cell_angle_alpha 90.00
_cell_angle_beta 107.77
_cell_angle_gamma 90.00
loop_
_space_group_symop_operation_xyz
'x,y,z'
'-x,-y,-z'
'-x,y+1/2,-z+1/2'
'x,-y+1/2,z+1/2'
loop_
_atom_site_label
_atom_site_fract_x
_atom_site_fract_y
_atom_site_fract_z
Nb1 0.179 0.123 0.124
Br1 0.099 0.600 0.600
Br2 0.103 0.175 0.602
Br3 0.323 0.102 0.325
O1 0.374 0.616 0.384
```

Principal peaks in the range 2θ = 10–90°, in order of falling intensity:
2theta  Rel. int.  h k l
29.50  100  0 4 0
23.53  69  1 1 -1
16.37  46  0 2 1
10.33  44  0 1 1
43.77  33  1 5 -1
53.52  33  0 5 5
23.60  33  1 0 -2
45.60  31  2 0 -2
37.89  31  0 5 1
24.63  27  1 1 0

(3)
Theoretical powder diffraction line list
Compound: Mg14CuCO16
Radiation: Cu Ka
Structure: a crystal structure in the Materials Project, relaxed with PBE

Cell and atoms:
```
data_Mg14CuCO16
_chemical_formula_sum 'Mg14 Cu1 C1 O16'
_space_group_name_H-M_alt 'P m m m'
_space_group_IT_number 47
_cell_length_a 4.233
_cell_length_b 8.477
_cell_length_c 8.518
_cell_angle_alpha 90.00
_cell_angle_beta 90.00
_cell_angle_gamma 90.00
loop_
_space_group_symop_operation_xyz
'x,y,z'
'-x,-y,-z'
'-x,-y,z'
'x,y,-z'
'x,-y,-z'
'-x,y,z'
'-x,y,-z'
'x,-y,z'
loop_
_atom_site_label
_atom_site_fract_x
_atom_site_fract_y
_atom_site_fract_z
Mg1 0.000 0.000 0.000
Mg2 0.000 0.248 0.253
Mg3 0.000 0.500 0.000
Mg4 0.500 0.000 0.254
Mg5 0.500 0.248 0.500
Mg6 0.500 0.250 0.000
Mg7 0.500 0.500 0.252
Cu1 0.000 0.500 0.500
C1 0.000 0.000 0.500
O1 0.000 0.000 0.249
O2 0.000 0.246 0.500
O3 0.000 0.249 0.000
O4 0.000 0.500 0.248
O5 0.500 0.000 0.000
O6 0.500 0.000 0.500
O7 0.500 0.250 0.252
O8 0.500 0.500 0.000
O9 0.500 0.500 0.500
```

Principal peaks in the range 2θ = 10–90°, in order of falling intensity:
2theta  Rel. int.  h k l
42.70  100  2 0 0
61.78  56  2 0 4
42.45  51  0 0 4
61.97  28  2 4 0
78.01  25  2 4 4
36.68  20  1 2 2
10.42  12  0 1 0
14.74  9  0 1 1
74.22  8  3 2 2
25.75  6  1 1 1

(4)
Theoretical powder diffraction line list
Compound: Ce3AlFeS7
Radiation: Cu Ka
Structure: a crystal structure in the Materials Project, relaxed with PBE

Cell and atoms:
```
data_Ce3AlFeS7
_chemical_formula_sum 'Ce6 Al2 Fe2 S14'
_space_group_name_H-M_alt 'P 63'
_space_group_IT_number 173
_cell_length_a 9.9298
_cell_length_b 9.9298
_cell_length_c 5.9732
_cell_angle_alpha 90.00
_cell_angle_beta 90.00
_cell_angle_gamma 120.00
loop_
_space_group_symop_operation_xyz
'x,y,z'
'x-y,x,z+1/2'
'-y,x-y,z'
'-x,-y,z+1/2'
'-x+y,-x,z'
'y,-x+y,z+1/2'
loop_
_atom_site_label
_atom_site_fract_x
_atom_site_fract_y
_atom_site_fract_z
Ce1 0.1381 0.3653 0.0000
Al1 0.3333 0.6667 0.4247
Fe1 0.0000 0.0000 0.2914
S1 0.0907 0.2358 0.5510
S2 0.0956 0.5782 0.2723
S3 0.3333 0.6667 0.7965
```

Principal peaks in the range 2θ = 10–90°, in order of falling intensity:
2theta  Rel. int.  h k l
25.53  100  2 0 1
36.64  48  2 0 2
40.74  43  3 1 1
36.18  42  2 2 0
18.08  38  1 0 1
27.44  33  1 2 0
23.30  31  1 1 1
34.71  30  3 0 1
37.72  29  1 3 0
41.04  29  1 2 2

(5)
Theoretical powder diffraction line list
Compound: Tl2AgI3
Radiation: Cu Ka
Structure: a crystal structure in the Materials Project, relaxed with PBE

Cell and atoms:
```
data_Tl2AgI3
_chemical_formula_sum 'Tl18 Ag9 I27'
_space_group_name_H-M_alt 'R -3'
_space_group_IT_number 148
_space_group_name_Hall '-R 3'
_cell_length_a 10.7556
_cell_length_b 10.7556
_cell_length_c 20.1469
_cell_angle_alpha 90.00
_cell_angle_beta 90.00
_cell_angle_gamma 120.00
loop_
_atom_site_label
_atom_site_fract_x
_atom_site_fract_y
_atom_site_fract_z
Tl1 0.0350 0.4040 0.0767
Ag1 0.0000 0.0000 0.0000
Ag2 0.0000 0.0000 0.1564
I1 0.0000 0.0000 0.2953
I2 0.0000 0.0000 0.5000
I3 0.9998 0.2410 0.9103
```

Principal peaks in the range 2θ = 10–90°, in order of falling intensity:
2theta  Rel. int.  h k l
26.83  100  3 -2 2
28.75  88  3 0 0
31.41  83  2 -1 6
30.99  69  2 1 4
26.55  27  0 0 6
44.22  26  3 -2 8
21.17  24  1 1 3
43.10  23  2 2 6
35.95  21  4 -2 3
44.58  18  1 4 0

(6)
Theoretical powder diffraction line list
Compound: Y4Cu19Pb
Radiation: Cu Ka
Structure: a crystal structure in the Materials Project, relaxed with PBE

Cell and atoms:
```
data_Y4Cu19Pb
_chemical_formula_sum 'Y12 Cu57 Pb3'
_space_group_name_H-M_alt 'R 3 m'
_space_group_IT_number 160
_space_group_name_Hall 'R 3 -2"'
_cell_length_a 5.0590
_cell_length_b 5.0590
_cell_length_c 48.7568
_cell_angle_alpha 90.00
_cell_angle_beta 90.00
_cell_angle_gamma 120.00
loop_
_atom_site_label
_atom_site_fract_x
_atom_site_fract_y
_atom_site_fract_z
Y1 0.0000 0.0000 0.0000
Y2 0.0000 0.0000 0.2419
Y3 0.0000 0.0000 0.4954
Y4 0.0000 0.0000 0.7474
Cu1 0.0000 0.0000 0.0591
Cu2 0.0000 0.0000 0.1513
Cu3 0.0000 0.0000 0.4030
Cu4 0.0000 0.0000 0.5586
Cu5 0.0000 0.0000 0.6526
Cu6 0.0000 0.0000 0.8088
Cu7 0.0000 0.0000 0.9001
Cu8 0.0029 0.5015 0.2751
Cu9 0.0041 0.5021 0.7776
Cu10 0.0061 0.5030 0.5256
Cu11 0.1671 0.3342 0.3631
Pb1 0.0000 0.0000 0.3076
```

Principal peaks in the range 2θ = 10–90°, in order of falling intensity:
2theta  Rel. int.  h k l
42.08  100  1 1 12
41.90  53  0 2 4
42.43  50  0 1 20
43.92  46  2 0 8
35.49  42  1 1 0
35.90  40  1 0 16
75.11  25  2 2 0
68.24  22  0 3 12
68.50  22  1 2 20
76.10  21  2 0 32

(7)
Theoretical powder diffraction line list
Compound: PtCI2O
Radiation: Cu Ka
Structure: a crystal structure in the Materials Project, relaxed with PBE

Cell and atoms:
```
data_PtCI2O
_chemical_formula_sum 'Pt8 C8 I16 O8'
_space_group_name_H-M_alt 'C 1 2/c 1'
_space_group_IT_number 15
_cell_length_a 11.183
_cell_length_b 9.588
_cell_length_c 13.735
_cell_angle_alpha 90.00
_cell_angle_beta 113.19
_cell_angle_gamma 90.00
loop_
_space_group_symop_operation_xyz
'x,y,z'
'-x,-y,-z'
'-x,y,-z+1/2'
'x,-y,z+1/2'
'x+1/2,y+1/2,z'
'-x+1/2,-y+1/2,-z'
'-x+1/2,y+1/2,-z+1/2'
'x+1/2,-y+1/2,z+1/2'
loop_
_atom_site_label
_atom_site_fract_x
_atom_site_fract_y
_atom_site_fract_z
Pt1 0.174 0.081 0.079
C1 0.157 0.439 0.912
I1 0.067 0.111 0.429
I2 0.248 0.217 0.779
O1 0.051 0.451 0.906
```

Principal peaks in the range 2θ = 10–90°, in order of falling intensity:
2theta  Rel. int.  h k l
12.63  100  1 1 0
16.17  97  1 1 -2
28.21  92  0 2 3
32.02  47  4 0 -2
42.96  45  0 0 6
21.51  44  1 1 -3
23.30  42  0 2 2
16.02  39  1 1 1
17.44  27  2 0 -2
43.44  25  4 2 -5

(8)
Theoretical powder diffraction line list
Compound: TiSn4N4
Radiation: Cu Ka
Structure: a crystal structure in the Materials Project, relaxed with PBE

Cell and atoms:
```
data_TiSn4N4
_chemical_formula_sum 'Ti2 Sn8 N8'
_space_group_name_H-M_alt 'P -1'
_space_group_IT_number 2
_cell_length_a 6.527
_cell_length_b 6.528
_cell_length_c 9.165
_cell_angle_alpha 104.50
_cell_angle_beta 104.87
_cell_angle_gamma 106.65
loop_
_space_group_symop_operation_xyz
'x,y,z'
'-x,-y,-z'
loop_
_atom_site_label
_atom_site_fract_x
_atom_site_fract_y
_atom_site_fract_z
Ti1 0.199 0.450 0.250
Sn1 0.009 0.760 0.132
Sn2 0.285 0.066 0.542
Sn3 0.374 0.624 0.633
Sn4 0.475 0.756 0.041
N1 0.098 0.620 0.906
N2 0.285 0.309 0.407
N3 0.305 0.781 0.354
N4 0.426 0.451 0.146
```

Principal peaks in the range 2θ = 10–90°, in order of falling intensity:
2theta  Rel. int.  h k l
28.54  100  2 0 -1
30.48  97  0 1 2
39.27  43  2 -1 2
34.26  33  2 -2 0
15.15  28  1 0 0
39.11  25  -2 1 3
57.88  19  2 -4 1
45.16  16  1 2 -4
21.44  15  0 0 2
52.91  15  -2 3 2